The following is a computed powder diffraction line list of Li3Hg4Pd. It was derived from a cell relaxed with PBE, using a wavelength of 1.5418 Å.
Lines closer than 0.1° are merged.

Atomic structure:
Unit cell a=4.603 b=4.603 c=6.874 alpha=90.00 beta=90.00 gamma=90.00
Fractional coordinates of all 8 atoms:
Li1 0.000 0.000 0.000
Li2 0.000 0.000 0.500
Li3 0.500 0.500 0.000
Hg1 0.000 0.500 0.245
Hg2 0.000 0.500 0.755
Hg3 0.500 0.000 0.245
Hg4 0.500 0.000 0.755
Pd1 0.500 0.500 0.500

Top 10 peaks for 2θ from 10° to 90°, by angle:
2θ (°)  d/Å  Rel. int.
25.92  3.437  35.6
27.40  3.255  62.6
38.08  2.363  100.0
39.14  2.302  46.5
47.54  1.912  29.0
56.55  1.628  16.1
60.96  1.520  13.8
63.22  1.471  12.6
68.09  1.377  18.4
70.22  1.340  34.0